1.
Starting from a crystal structure in Alexandria, relaxed with GGA-PBE, the powder diffractogram of ZnIn2Ag6 was simulated for CuKα.
Lines closer than 0.1° are merged.

Most intense lines, 2θ = 5–70°, in order of rising 2θ:
two_theta, I_rel
14.05, 1
23.40, 1
30.91, 1
36.33, 1
37.05, 100
38.45, 1
43.04, 48
62.50, 29
63.46, 1

Structural model:
```
ZnIn2Ag6
1.0
8.9164 0.0000 0.0000
0.0000 8.9164 0.0000
0.0000 0.0000 4.2028
Zn In Ag
2 4 12
Direct
0.0000 0.0000 0.0000
0.5000 0.5000 0.5000
0.1748 0.1748 0.5000
0.3252 0.6748 0.0000
0.6748 0.3252 0.0000
0.8252 0.8252 0.5000
0.0033 0.3320 0.0000
0.1546 0.8454 0.5000
0.1680 0.5033 0.5000
0.3320 0.0033 0.0000
0.3454 0.3454 0.0000
0.4967 0.8320 0.5000
0.5033 0.1680 0.5000
0.6546 0.6546 0.0000
0.6680 0.9967 0.0000
0.8320 0.4967 0.5000
0.8454 0.1546 0.5000
0.9967 0.6680 0.0000
```

***

2.
Starting from a crystal structure in Alexandria, relaxed with GGA-PBE, the powder diffractogram of Zn2In2Ag7 was simulated for CuKα.
Lines closer than 0.1° are merged.

Most intense lines, 2θ = 5–70°, in order of rising 2θ:
two_theta, I_rel
31.03, 19
38.22, 17
38.38, 17
38.67, 57
38.87, 100
39.48, 62
39.69, 97
56.43, 14
56.78, 27
64.94, 13

Structural model:
```
Zn2In2Ag7
1.0
6.1667 -3.9270 0.0000
6.1667 3.9270 0.0000
-1.6621 0.0000 4.2513
Zn In Ag
2 2 7
Direct
0.0000 0.0000 0.0000
0.8052 0.1948 0.5000
0.2507 0.2660 0.2584
0.7340 0.7493 0.7416
0.1882 0.5475 0.8673
0.2326 0.0175 0.6262
0.4525 0.8118 0.1327
0.4628 0.5372 0.5000
0.5595 0.1942 0.8750
0.8058 0.4405 0.1250
0.9825 0.7674 0.3738
```

***

3.
Starting from a crystal structure in Alexandria, relaxed with GGA-PBE, the powder diffractogram of ZnInAg2 was simulated for CuKα.
Lines closer than 0.1° are merged.

Most intense lines, 2θ = 5–70°, in order of rising 2θ:
two_theta, I_rel
30.14, 10
37.51, 100
37.81, 98
39.29, 97
51.78, 14
55.98, 12
56.33, 16
57.21, 15
66.88, 25
69.85, 30

Structural model:
```
ZnInAg2
1.0
3.2204 0.0000 0.0000
0.0000 3.2663 0.0000
-0.0133 0.0000 7.0624
Zn In Ag
1 1 2
Direct
0.0000 0.0000 0.0000
0.0000 0.0000 0.5000
0.4993 0.5000 0.7839
0.5007 0.5000 0.2161
```

***

4.
Starting from a crystal structure in Alexandria, relaxed with GGA-PBE, the powder diffractogram of Zr4InAg was simulated for CuKα.
Lines closer than 0.1° are merged.

Most intense lines, 2θ = 5–70°, in order of rising 2θ:
two_theta, I_rel
12.69, 1
29.78, 1
35.00, 100
38.73, 19
41.49, 15
41.65, 15
58.05, 11
58.17, 11
60.24, 10
67.71, 14

Structural model:
```
Zr4InAg
1.0
4.3370 0.0000 0.0000
0.0000 13.9498 0.0000
0.0000 0.0000 4.3532
Zr In Ag
8 2 2
Direct
0.0000 0.1664 0.0000
0.0000 0.3319 0.5000
0.0000 0.6681 0.5000
0.0000 0.8336 0.0000
0.5000 0.1681 0.5000
0.5000 0.3336 0.0000
0.5000 0.6664 0.0000
0.5000 0.8319 0.5000
0.0000 0.5000 0.0000
0.5000 0.0000 0.0000
0.0000 0.0000 0.5000
0.5000 0.5000 0.5000
```